(1)
The following is a computed powder diffractogram of Rb12NaAu6. It was derived from a DFT-relaxed cell (PBE, Alexandria), using CuKα.
No peak broadening, texture or thermal motion is included.

Structural model:
```
data_Rb12NaAu6
_chemical_formula_sum 'Rb24 Na2 Au12'
_cell_length_a 12.6345
_cell_length_b 12.6345
_cell_length_c 12.6345
_cell_angle_alpha 90.00
_cell_angle_beta 90.00
_cell_angle_gamma 90.00
_symmetry_space_group_name_H-M 'I m -3'
_symmetry_Int_Tables_number 204
_symmetry_space_group_name_Hall '-I 2 2 3'
loop_
_atom_site_label
_atom_site_fract_x
_atom_site_fract_y
_atom_site_fract_z
_atom_site_occupancy
Rb1 0.0000 0.1793 0.3186 1
Na1 0.0000 0.0000 0.0000 1
Au1 0.0000 0.3854 0.5000 1
```

Largest 12 diffraction maxima, in order of rising 2θ, 2θ = 10–90°:
2θ/deg, I/Imax
14.02, 44
24.41, 11
26.39, 100
30.01, 19
36.25, 69
39.05, 17
41.68, 12
42.95, 20
46.59, 15
51.12, 14
57.43, 15
63.32, 20

***

(2)
The following is a computed powder diffractogram of Nd3Sn4Rh8. It was derived from a DFT-relaxed cell (PBE, Alexandria), using CuKα.
No peak broadening, texture or thermal motion is included.

Structural model:
```
data_Nd3Sn4Rh8
_chemical_formula_sum 'Nd24 Sn32 Rh64'
_cell_length_a 13.2240
_cell_length_b 13.2240
_cell_length_c 13.2240
_cell_angle_alpha 90.00
_cell_angle_beta 90.00
_cell_angle_gamma 90.00
_symmetry_space_group_name_H-M 'F m -3 m'
_symmetry_Int_Tables_number 225
_symmetry_space_group_name_Hall '-F 4 2 3'
loop_
_atom_site_label
_atom_site_fract_x
_atom_site_fract_y
_atom_site_fract_z
_atom_site_occupancy
Nd1 0.0000 0.0000 0.2310 1
Sn1 0.0000 0.0000 0.0000 1
Sn2 0.0000 0.0000 0.5000 1
Sn3 0.0000 0.2500 0.2500 1
Rh1 0.1226 0.1226 0.3774 1
Rh2 0.1726 0.1726 0.1726 1
```

Largest 12 diffraction maxima, in order of rising 2θ, 2θ = 10–90°:
2θ/deg, I/Imax
30.22, 9
35.27, 25
38.51, 100
40.35, 10
40.95, 8
43.27, 9
44.95, 11
55.60, 9
62.86, 8
67.58, 8
69.67, 28
82.53, 12

***

(3)
The following is a computed powder diffractogram of Ba2ClF3. It was derived from a DFT-relaxed cell (PBE, Alexandria), using CuKα.
No peak broadening, texture or thermal motion is included.

Structural model:
```
data_Ba2ClF3
_chemical_formula_sum 'Ba2 Cl1 F3'
_cell_length_a 4.4987
_cell_length_b 4.4987
_cell_length_c 7.4272
_cell_angle_alpha 90.00
_cell_angle_beta 90.00
_cell_angle_gamma 120.00
_symmetry_space_group_name_H-M 'P -3 m 1'
_symmetry_Int_Tables_number 164
_symmetry_space_group_name_Hall '-P 3 2"'
loop_
_atom_site_label
_atom_site_fract_x
_atom_site_fract_y
_atom_site_fract_z
_atom_site_occupancy
Ba1 0.3333 0.6667 0.2983 1
Cl1 0.0000 0.0000 0.0000 1
F1 0.0000 0.0000 0.5000 1
F2 0.3333 0.6667 0.6684 1
```

Largest 12 diffraction maxima, in order of rising 2θ, 2θ = 10–90°:
2θ/deg, I/Imax
11.92, 17
22.83, 15
23.96, 16
25.82, 100
33.33, 53
40.09, 50
43.30, 19
47.24, 16
48.30, 18
53.09, 13
55.17, 20
64.51, 16

***

(4)
The following is a computed powder diffractogram of B4Pt5Rh. It was derived from a DFT-relaxed cell (PBE, Alexandria), using CuKα.
No peak broadening, texture or thermal motion is included.

Structural model:
```
data_B4Pt5Rh
_chemical_formula_sum 'B8 Pt10 Rh2'
_cell_length_a 13.6702
_cell_length_b 3.3004
_cell_length_c 5.5633
_cell_angle_alpha 90.00
_cell_angle_beta 99.27
_cell_angle_gamma 90.00
_symmetry_space_group_name_H-M 'C 1 2/m 1'
_symmetry_Int_Tables_number 12
loop_
_symmetry_equiv_pos_as_xyz
'x,y,z'
'-x,-y,-z'
'-x,y,-z'
'x,-y,z'
'x+1/2,y+1/2,z'
'-x+1/2,-y+1/2,-z'
'-x+1/2,y+1/2,-z'
'x+1/2,-y+1/2,z'
loop_
_atom_site_label
_atom_site_fract_x
_atom_site_fract_y
_atom_site_fract_z
_atom_site_occupancy
B1 0.0578 0.0000 0.2757 1
B2 0.1436 0.5000 0.8000 1
Pt1 0.0000 0.5000 0.0000 1
Pt2 0.1742 0.0000 0.5659 1
Pt3 0.1746 0.0000 0.0635 1
Rh1 0.0000 0.5000 0.5000 1
```

Largest 12 diffraction maxima, in order of rising 2θ, 2θ = 10–90°:
2θ/deg, I/Imax
32.62, 32
33.68, 100
40.10, 31
44.25, 14
45.14, 35
47.99, 16
49.96, 18
55.70, 13
68.78, 12
70.83, 12
72.70, 10
76.54, 17

***

(5)
The following is a computed powder diffractogram of Ba3HgW. It was derived from a DFT-relaxed cell (PBE, Alexandria), using CuKα.
No peak broadening, texture or thermal motion is included.

Structural model:
```
data_Ba3HgW
_chemical_formula_sum 'Ba3 Hg1 W1'
_cell_length_a 6.0382
_cell_length_b 6.0382
_cell_length_c 6.0382
_cell_angle_alpha 90.00
_cell_angle_beta 90.00
_cell_angle_gamma 90.00
_symmetry_space_group_name_H-M 'P m -3 m'
_symmetry_Int_Tables_number 221
_symmetry_space_group_name_Hall '-P 4 2 3'
loop_
_atom_site_label
_atom_site_fract_x
_atom_site_fract_y
_atom_site_fract_z
_atom_site_occupancy
Ba1 0.0000 0.0000 0.5000 1
Hg1 0.5000 0.5000 0.5000 1
W1 0.0000 0.0000 0.0000 1
```

Largest 12 diffraction maxima, in order of rising 2θ, 2θ = 10–90°:
2θ/deg, I/Imax
14.67, 12
20.80, 48
25.55, 55
29.59, 100
36.45, 24
42.34, 76
50.10, 26
52.50, 27
57.07, 14
61.42, 13
69.64, 35
77.43, 26

***

(6)
The following is a computed powder diffractogram of Dy4Tm7Mg. It was derived from a DFT-relaxed cell (PBE, Alexandria), using CuKα.
No peak broadening, texture or thermal motion is included.

Structural model:
```
data_Dy4Tm7Mg
_chemical_formula_sum 'Dy4 Tm7 Mg1'
_cell_length_a 3.5028
_cell_length_b 3.5028
_cell_length_c 33.9120
_cell_angle_alpha 90.00
_cell_angle_beta 90.00
_cell_angle_gamma 120.00
_symmetry_space_group_name_H-M 'P -3 m 1'
_symmetry_Int_Tables_number 164
_symmetry_space_group_name_Hall '-P 3 2"'
loop_
_atom_site_label
_atom_site_fract_x
_atom_site_fract_y
_atom_site_fract_z
_atom_site_occupancy
Dy1 0.3333 0.6667 0.1623 1
Dy2 0.3333 0.6667 0.4153 1
Tm1 0.0000 0.0000 0.2469 1
Tm2 0.0000 0.0000 0.5000 1
Tm3 0.3333 0.6667 0.6693 1
Tm4 0.3333 0.6667 0.9217 1
Mg1 0.0000 0.0000 0.0000 1
```

Largest 12 diffraction maxima, in order of rising 2θ, 2θ = 10–90°:
2θ/deg, I/Imax
31.32, 100
31.66, 30
36.42, 65
52.23, 24
52.68, 21
62.17, 14
62.38, 26
62.78, 12
65.34, 12
85.45, 12
88.30, 11
89.02, 9

***

(7)
The following is a computed powder diffractogram of GdF5. It was derived from a DFT-relaxed cell (PBE, Alexandria), using CuKα.
No peak broadening, texture or thermal motion is included.

Structural model:
```
data_GdF5
_chemical_formula_sum 'Gd2 F10'
_cell_length_a 3.9207
_cell_length_b 9.5450
_cell_length_c 4.0806
_cell_angle_alpha 90.00
_cell_angle_beta 90.00
_cell_angle_gamma 90.00
_symmetry_space_group_name_H-M 'C m m m'
_symmetry_Int_Tables_number 65
_symmetry_space_group_name_Hall '-C 2 2'
loop_
_atom_site_label
_atom_site_fract_x
_atom_site_fract_y
_atom_site_fract_z
_atom_site_occupancy
Gd1 0.0000 0.0000 0.0000 1
F1 0.0000 0.1342 0.5000 1
F2 0.0000 0.3621 0.0000 1
F3 0.0000 0.5000 0.5000 1
```

Largest 12 diffraction maxima, in order of rising 2θ, 2θ = 10–90°:
2θ/deg, I/Imax
18.59, 100
21.78, 46
24.55, 69
28.79, 45
33.04, 53
36.37, 26
42.79, 98
44.40, 24
46.31, 21
48.53, 16
51.38, 20
58.32, 28

***

(8)
The following is a computed powder diffractogram of BaLiYCu2O5. It was derived from a DFT-relaxed cell (PBE, Alexandria), using CuKα.
No peak broadening, texture or thermal motion is included.

Structural model:
```
data_BaLiYCu2O5
_chemical_formula_sum 'Ba1 Li1 Y1 Cu2 O5'
_cell_length_a 3.7723
_cell_length_b 3.9487
_cell_length_c 9.1613
_cell_angle_alpha 90.00
_cell_angle_beta 90.00
_cell_angle_gamma 90.00
_symmetry_space_group_name_H-M 'P m m 2'
_symmetry_Int_Tables_number 25
loop_
_symmetry_equiv_pos_as_xyz
'x,y,z'
'-x,-y,z'
'-x,y,z'
'x,-y,z'
loop_
_atom_site_label
_atom_site_fract_x
_atom_site_fract_y
_atom_site_fract_z
_atom_site_occupancy
Ba1 0.0000 0.0000 0.0000 1
Li1 0.0000 0.5000 0.7635 1
Y1 0.0000 0.0000 0.4044 1
Cu1 0.5000 0.5000 0.2212 1
Cu2 0.5000 0.5000 0.5763 1
O1 0.0000 0.5000 0.2423 1
O2 0.0000 0.5000 0.5544 1
O3 0.5000 0.0000 0.2251 1
O4 0.5000 0.0000 0.5439 1
O5 0.5000 0.5000 0.8817 1
```

Largest 12 diffraction maxima, in order of rising 2θ, 2θ = 10–90°:
2θ/deg, I/Imax
19.38, 34
29.87, 82
30.70, 72
32.83, 100
37.22, 70
37.91, 71
38.41, 34
45.97, 40
48.25, 34
60.91, 32
61.05, 33
62.47, 29

***

(9)
The following is a computed powder diffractogram of Ce2Tl2Se5. It was derived from a DFT-relaxed cell (PBE, Alexandria), using CuKα.
No peak broadening, texture or thermal motion is included.

Structural model:
```
data_Ce2Tl2Se5
_chemical_formula_sum 'Ce8 Tl8 Se20'
_cell_length_a 16.1791
_cell_length_b 8.0185
_cell_length_c 8.0289
_cell_angle_alpha 90.00
_cell_angle_beta 90.00
_cell_angle_gamma 90.00
_symmetry_space_group_name_H-M 'C m c e'
_symmetry_Int_Tables_number 64
_symmetry_space_group_name_Hall '-C 2ac 2'
loop_
_atom_site_label
_atom_site_fract_x
_atom_site_fract_y
_atom_site_fract_z
_atom_site_occupancy
Ce1 0.0000 0.1620 0.1619 1
Tl1 0.2009 0.0000 0.5000 1
Se1 0.0000 0.0000 0.5000 1
Se2 0.1141 0.1458 0.8547 1
```

Largest 12 diffraction maxima, in order of rising 2θ, 2θ = 10–90°:
2θ/deg, I/Imax
22.16, 27
22.75, 42
24.77, 81
29.90, 42
31.54, 47
31.84, 76
33.40, 61
35.82, 100
37.42, 36
45.42, 48
50.85, 23
63.42, 26

***

(10)
The following is a computed powder diffractogram of La6SmY12. It was derived from a DFT-relaxed cell (PBE, Alexandria), using CuKα.
No peak broadening, texture or thermal motion is included.

Structural model:
```
data_La6SmY12
_chemical_formula_sum 'La18 Sm3 Y36'
_cell_length_a 11.2497
_cell_length_b 11.2497
_cell_length_c 17.8555
_cell_angle_alpha 90.00
_cell_angle_beta 90.00
_cell_angle_gamma 120.00
_symmetry_space_group_name_H-M 'R -3 m'
_symmetry_Int_Tables_number 166
_symmetry_space_group_name_Hall '-R 3 2"'
loop_
_atom_site_label
_atom_site_fract_x
_atom_site_fract_y
_atom_site_fract_z
_atom_site_occupancy
La1 0.0705 0.5352 0.2651 1
Sm1 0.0000 0.0000 0.5000 1
Y1 0.1050 0.5525 0.9134 1
Y2 0.1063 0.2126 0.9083 1
```

Largest 12 diffraction maxima, in order of rising 2θ, 2θ = 10–90°:
2θ/deg, I/Imax
26.18, 9
27.09, 7
27.46, 18
30.03, 21
31.05, 8
31.38, 100
31.82, 6
41.14, 20
48.56, 18
54.18, 15
58.15, 12
58.96, 12

***

(11)
The following is a computed powder diffractogram of CdTcHg. It was derived from a DFT-relaxed cell (PBE, Alexandria), using CuKα.
No peak broadening, texture or thermal motion is included.

Structural model:
```
data_CdTcHg
_chemical_formula_sum 'Cd4 Tc4 Hg4'
_cell_length_a 3.0634
_cell_length_b 5.0007
_cell_length_c 14.8636
_cell_angle_alpha 90.00
_cell_angle_beta 90.00
_cell_angle_gamma 90.00
_symmetry_space_group_name_H-M 'F m m 2'
_symmetry_Int_Tables_number 42
_symmetry_space_group_name_Hall 'F 2 -2'
loop_
_atom_site_label
_atom_site_fract_x
_atom_site_fract_y
_atom_site_fract_z
_atom_site_occupancy
Cd1 0.0000 0.0000 0.0000 1
Tc1 0.0000 0.0000 0.3406 1
Hg1 0.0000 0.0000 0.6789 1
```

Largest 12 diffraction maxima, in order of rising 2θ, 2θ = 10–90°:
2θ/deg, I/Imax
11.91, 15
34.87, 8
35.92, 32
36.26, 30
38.98, 100
51.96, 21
66.60, 20
67.04, 18
72.35, 8
72.56, 8
83.71, 11
89.44, 9

***

(12)
The following is a computed powder diffractogram of CaMg10Ni3. It was derived from a DFT-relaxed cell (PBE, Alexandria), using CuKα.
No peak broadening, texture or thermal motion is included.

Structural model:
```
data_CaMg10Ni3
_chemical_formula_sum 'Ca8 Mg80 Ni24'
_cell_length_a 13.3721
_cell_length_b 13.3721
_cell_length_c 13.3721
_cell_angle_alpha 90.00
_cell_angle_beta 90.00
_cell_angle_gamma 90.00
_symmetry_space_group_name_H-M 'F m -3 m'
_symmetry_Int_Tables_number 225
_symmetry_space_group_name_Hall '-F 4 2 3'
loop_
_atom_site_label
_atom_site_fract_x
_atom_site_fract_y
_atom_site_fract_z
_atom_site_occupancy
Ca1 0.2500 0.2500 0.2500 1
Mg1 0.0000 0.1670 0.1670 1
Mg2 0.1111 0.1111 0.3889 1
Ni1 0.0000 0.0000 0.2673 1
```

Largest 12 diffraction maxima, in order of rising 2θ, 2θ = 10–90°:
2θ/deg, I/Imax
18.77, 20
23.04, 100
26.67, 26
34.86, 54
38.07, 81
39.88, 34
40.47, 16
44.97, 87
60.34, 21
68.79, 32
82.58, 15
86.02, 18